PbICl: simulated powder diffractogram (a wavelength of 1.5418 Å), based on a structure optimized by DFT (PBE).
Kinematic intensities with the Lorentz-polarization factor, no thermal factor.

```
PbICl
1.0
7.1955 -2.2641 0.0000
7.1955 2.2641 0.0000
-1.8486 0.0000 7.6138
Pb I Cl
2 2 2
direct
0.2469 0.2469 0.2579
0.7531 0.7531 0.7421
0.1149 0.1149 0.8495
0.8851 0.8851 0.1505
0.3542 0.3542 0.6221
0.6458 0.6458 0.3779
```

Top 10 peaks for 2θ = 15–90°, by angle:
Position (°2θ), I_rel
22.97, 42.7
23.37, 34.3
28.04, 100.0
29.24, 42.3
31.68, 30.1
39.87, 56.6
40.32, 17.7
41.39, 16.6
41.98, 40.5
50.15, 18.8

PdICl: simulated powder diffractogram (a wavelength of 1.5418 Å), based on a structure optimized by DFT (PBE).
Kinematic intensities with the Lorentz-polarization factor, no thermal factor.

```
PdICl
1.0
3.2969 -3.2818 0.0000
3.2969 3.2818 0.0000
-1.7031 0.0000 7.6545
Pd I Cl
2 2 2
direct
0.2237 0.7763 0.5000
0.7763 0.2237 0.0000
0.7309 0.8103 0.7183
0.8103 0.7309 0.2183
0.2669 0.2966 0.9492
0.2966 0.2669 0.4492
```

Top 10 peaks for 2θ = 15–90°, by angle:
Position (°2θ), I_rel
19.31, 49.7
20.95, 100.0
24.08, 23.0
27.93, 57.9
32.22, 34.5
32.69, 46.7
36.05, 42.2
39.20, 70.1
46.19, 21.3
48.50, 25.1